1.
Structure and theoretical X-ray diffraction stick pattern of Li17Ca2Cu3 (a PBE-relaxed structure; CuKα).

Structural model:
a b c (Å): 10.3221 10.3221 14.9912
angles (deg): 90.00 90.00 120.00
Space group R-3m (No. 166, hexagonal axes)
Inequivalent atoms, fractional coordinates:
Li 0.0000 0.0000 0.0973
Li 0.0000 0.2671 0.0000
Li 0.0000 0.5000 0.5000
Li 0.0097 0.5049 0.1667
Ca 0.0000 0.0000 0.3336
Cu 0.0000 0.5000 0.0000

Main lines, low angle first (15 to 90 degrees two-theta):
15.43 deg, I = 53, hkl 0 1 2; 17.75 deg, I = 100, hkl 0 0 3; 20.74 deg, I = 72, hkl 0 2 1; 34.76 deg, I = 83, hkl 2 2 0; 39.29 deg, I = 56, hkl 2 2 3; 50.88 deg, I = 55, hkl 2 2 6


2.
Structure and theoretical X-ray diffraction stick pattern of Li3CaCu3 (a PBE-relaxed structure; CuKα).

Structural model:
a b c (Å): 6.5627 6.5627 6.5627
angles (deg): 90.00 90.00 90.00
Space group Pm-3n (No. 223)
Inequivalent atoms, fractional coordinates:
Li 0.0000 0.2500 0.5000
Ca 0.0000 0.0000 0.0000
Cu 0.0000 0.5000 0.2500

Main lines, low angle first (15 to 90 degrees two-theta):
27.18 deg, I = 28, hkl 2 0 0; 30.46 deg, I = 100, hkl 2 1 0; 33.45 deg, I = 64, hkl 2 1 1; 50.12 deg, I = 23, hkl 3 2 0; 52.15 deg, I = 34, hkl 3 2 1; 65.14 deg, I = 20, hkl 4 2 1